Entry 1:
# ZnHgBr2
Theoretical powder X-ray diffraction pattern, Cu Kα, 1.54184 Å. Input: a crystal structure in Alexandria, relaxed with PBE.
Intensities are scaled so that the largest is 100.

Crystal structure
```
ZnHgBr2
1.0
6.7161 0.0000 0.0000
3.3344 6.1393 0.0000
1.8483 1.6127 6.6633
Zn Hg Br
2 2 4
direct
0.0000 0.0000 0.0000
0.3156 0.3647 0.9761
0.1482 0.9909 0.6273
0.6876 0.8528 0.6200
0.2913 0.0013 0.1586
0.3255 0.4566 0.6274
0.6590 0.3194 0.0882
0.9877 0.6372 0.1542
```

Largest 8 diffraction maxima, sorted by position, 10 to 90 degrees two-theta:
d/Å	two_theta	I (rel.)
5.967	14.85	53
5.078	17.46	31
4.002	22.21	38
3.332	26.76	94
3.292	27.08	72
3.276	27.22	100
3.176	28.09	36
2.115	42.75	40

---

Entry 2:
# Zr2As3
Theoretical powder X-ray diffraction pattern, Cu Kα, 1.54184 Å. Input: a crystal structure in Alexandria, relaxed with PBE.
Intensities are scaled so that the largest is 100.

Crystal structure
```
Zr2As3
1.0
3.7257 0.0000 0.0000
-1.8629 3.2266 0.0000
0.0000 0.0000 27.1265
Zr As
6 9
direct
0.0000 0.0000 0.1054
0.0000 0.0000 0.8946
0.3333 0.6667 0.5612
0.3333 0.6667 0.7721
0.6667 0.3333 0.2279
0.6667 0.3333 0.4388
0.0000 0.0000 0.2909
0.0000 0.0000 0.5000
0.0000 0.0000 0.7091
0.3333 0.6667 0.1667
0.3333 0.6667 0.3758
0.3333 0.6667 0.9576
0.6667 0.3333 0.0424
0.6667 0.3333 0.6242
0.6667 0.3333 0.8333
```

Largest 8 diffraction maxima, sorted by position, 10 to 90 degrees two-theta:
d/Å	two_theta	I (rel.)
2.773	32.28	100
2.076	43.59	38
1.863	48.89	32
1.546	59.81	16
1.387	67.56	10
1.298	72.90	13
1.190	80.77	14
1.112	87.75	10

---

> Number 2 is which compound?

Zr2As3